This entry pairs a crystal structure of Lu2AlZn with its calculated X-ray diffraction stick pattern. Radiation: Cu Kα (weighted mean of Kα1 and Kα2). Structure: a crystal structure in the Materials Project, relaxed with PBE.
Kinematic intensities with the Lorentz-polarization factor, no thermal factor.

Cell and atoms:
```
data_Lu2AlZn
_chemical_formula_sum 'Lu8 Al4 Zn4'
_cell_length_a 7.031
_cell_length_b 7.031
_cell_length_c 7.031
_cell_angle_alpha 90.00
_cell_angle_beta 90.00
_cell_angle_gamma 90.00
_space_group_name_H-M_alt 'F m -3 m'
_space_group_IT_number 225
_space_group_name_Hall '-F 4 2 3'
loop_
_atom_site_label
_atom_site_type_symbol
_atom_site_fract_x
_atom_site_fract_y
_atom_site_fract_z
Lu1 Lu 0.250 0.250 0.250
Al1 Al 0.000 0.000 0.000
Zn1 Zn 0.000 0.000 0.500
```

Principal peaks in the range 10° ≤ 2θ ≤ 90°, in order of falling intensity:
2θ/deg  d_spacing  Rel. int.  hkl
36.13  2.486  1000  2 2 0
25.33  3.516  382  2 0 0
64.98  1.435  360  4 2 2
52.03  1.758  176  4 0 0
87.81  1.112  162  6 2 0
58.73  1.572  158  4 2 0
44.65  2.030  116  2 2 2
76.67  1.243  111  4 4 0
82.28  1.172  79  6 0 0
21.90  4.059  23  1 1 1